For TbCdSi, a GGA-PBE-relaxed structure gives the calculated X-ray diffraction stick pattern in this record (Cu Kα, 1.54184 Å).
No peak broadening, texture or thermal motion is included.

a b c (Å): 3.823 4.212 8.573
angles (deg): 103.62 90.06 90.01
Element x y z (fractional)
Tb: 0.250 0.086 0.180
Tb: 0.750 0.914 0.820
Cd: 0.250 0.288 0.573
Cd: 0.750 0.712 0.427
Si: 0.250 0.457 0.910
Si: 0.750 0.543 0.090

Most intense lines, 2θ = 5–70°, low angle first:
| two_theta | I_rel |
| --- | --- |
| 31.77 | 42 |
| 32.07 | 100 |
| 34.13 | 34 |
| 34.49 | 33 |
| 40.13 | 21 |
| 42.95 | 24 |

For Tb4CdSi2, a GGA-PBE-relaxed structure gives the calculated X-ray diffraction stick pattern in this record (Cu Kα, 1.54184 Å).
No peak broadening, texture or thermal motion is included.

a b c (Å): 11.336 11.336 11.336
angles (deg): 22.97 22.97 22.97
Element x y z (fractional)
Tb: 0.111 0.111 0.111
Tb: 0.300 0.300 0.300
Tb: 0.700 0.700 0.700
Tb: 0.889 0.889 0.889
Cd: 0.500 0.500 0.500
Si: 0.401 0.401 0.401
Si: 0.599 0.599 0.599

Most intense lines, 2θ = 5–70°, low angle first:
| two_theta | I_rel |
| --- | --- |
| 26.48 | 100 |
| 35.54 | 56 |
| 39.94 | 48 |
| 48.56 | 19 |
| 54.52 | 16 |
| 64.63 | 16 |

For CdSi2Tc2, a GGA-PBE-relaxed structure gives the calculated X-ray diffraction stick pattern in this record (Cu Kα, 1.54184 Å).
No peak broadening, texture or thermal motion is included.

a b c (Å): 6.953 6.953 6.953
angles (deg): 151.03 151.03 41.43
Element x y z (fractional)
Cd: 0.000 0.000 0.000
Si: 0.250 0.750 0.500
Si: 0.750 0.250 0.500
Tc: 0.384 0.384 0.000
Tc: 0.616 0.616 0.000

Most intense lines, 2θ = 5–70°, low angle first:
| two_theta | I_rel |
| --- | --- |
| 33.01 | 100 |
| 36.53 | 48 |
| 39.15 | 44 |
| 43.44 | 74 |
| 52.62 | 34 |
| 63.54 | 28 |